[1]
# Tl2Zn
Calculated powder diffraction line list, Cu Kα. Input: the PBE geometry in Alexandria.

Largest 8 diffraction maxima, in order of falling intensity, 10 to 90 degrees two-theta:
2θ 34.8, I 100.0, (6 0 1)
2θ 25.9, I 80.0, (1 1 0)
2θ 37.3, I 79.6, (1 1 1)
2θ 30.7, I 60.4, (5 1 0)
2θ 42.0, I 42.9, (7 1 -1)
2θ 26.5, I 40.1, (8 0 0)
2θ 61.2, I 39.3, (13 1 1)
2θ 39.8, I 36.4, (9 1 0)

```
data_Tl2Zn
_symmetry_space_group_name_H-M 'C 1 2/m 1'
_symmetry_Int_Tables_number 12
_cell_length_a 27.146
_cell_length_b 3.468
_cell_length_c 3.468
_cell_angle_alpha 90.00
_cell_angle_beta 97.25
_cell_angle_gamma 90.00
loop_
_symmetry_equiv_pos_as_xyz
'x,y,z'
'-x,-y,-z'
'-x,y,-z'
'x,-y,z'
'x+1/2,y+1/2,z'
'-x+1/2,-y+1/2,-z'
'-x+1/2,y+1/2,-z'
'x+1/2,-y+1/2,z'
loop_
_atom_site_label
_atom_site_fract_x
_atom_site_fract_y
_atom_site_fract_z
_atom_site_occupancy
Tl1 0.055 0.000 0.305 1
Tl2 0.195 0.000 0.445 1
Zn1 0.125 0.500 0.875 1
```


[2]
# Tl5Zn
Calculated powder diffraction line list, Cu Kα. Input: the PBE geometry in Alexandria.

Largest 8 diffraction maxima, in order of falling intensity, 10 to 90 degrees two-theta:
2θ 33.2, I 100.0, (1 3 1)
2θ 33.7, I 27.2, (0 0 2)
2θ 29.4, I 23.7, (0 6 0)
2θ 60.0, I 18.8, (1 3 3)
2θ 45.3, I 14.8, (0 6 2)
2θ 25.7, I 11.9, (0 4 1)
2θ 61.7, I 9.8, (2 0 2)
2θ 50.0, I 9.1, (2 0 0)

```
data_Tl5Zn
_symmetry_space_group_name_H-M 'C m m m'
_symmetry_Int_Tables_number 65
_symmetry_space_group_name_Hall '-C 2 2'
_cell_length_a 3.646
_cell_length_b 18.248
_cell_length_c 5.321
_cell_angle_alpha 90.00
_cell_angle_beta 90.00
_cell_angle_gamma 90.00
loop_
_atom_site_label
_atom_site_fract_x
_atom_site_fract_y
_atom_site_fract_z
_atom_site_occupancy
Tl1 0.000 0.000 0.000 1
Tl2 0.000 0.137 0.500 1
Tl3 0.000 0.328 0.000 1
Zn1 0.000 0.500 0.500 1
```


[3]
# Tl5Zn
Calculated powder diffraction line list, Cu Kα. Input: the PBE geometry in Alexandria.

Largest 8 diffraction maxima, in order of falling intensity, 10 to 90 degrees two-theta:
2θ 32.9, I 100.0, (1 1 -2)
2θ 34.4, I 65.0, (3 1 0)
2θ 30.7, I 43.4, (2 0 2)
2θ 60.5, I 22.4, (2 2 2)
2θ 30.1, I 17.1, (4 0 -1)
2θ 51.3, I 14.6, (5 1 -3)
2θ 50.8, I 13.1, (0 2 0)
2θ 32.6, I 13.0, (2 0 -3)

```
data_Tl5Zn
_symmetry_space_group_name_H-M 'C 1 m 1'
_symmetry_Int_Tables_number 8
_cell_length_a 11.895
_cell_length_b 3.593
_cell_length_c 8.385
_cell_angle_alpha 90.00
_cell_angle_beta 106.63
_cell_angle_gamma 90.00
loop_
_symmetry_equiv_pos_as_xyz
'x,y,z'
'x,-y,z'
'x+1/2,y+1/2,z'
'x+1/2,-y+1/2,z'
loop_
_atom_site_label
_atom_site_fract_x
_atom_site_fract_y
_atom_site_fract_z
_atom_site_occupancy
Tl1 0.000 0.000 0.000 1
Tl2 0.024 0.000 0.421 1
Tl3 0.165 0.500 0.779 1
Tl4 0.301 0.000 0.137 1
Tl5 0.361 0.000 0.632 1
Zn1 0.206 0.500 0.351 1
```


[4]
# Tl3Zn2
Calculated powder diffraction line list, Cu Kα. Input: the PBE geometry in Alexandria.

Largest 8 diffraction maxima, in order of falling intensity, 10 to 90 degrees two-theta:
2θ 34.1, I 100.0, (1 0 2)
2θ 25.3, I 83.9, (0 1 1)
2θ 37.9, I 75.1, (1 1 0)
2θ 51.9, I 30.7, (0 2 2)
2θ 66.0, I 29.8, (2 1 2)
2θ 58.6, I 19.4, (0 1 4)
2θ 56.0, I 17.5, (1 1 3)
2θ 46.1, I 17.4, (2 0 1)

```
data_Tl3Zn2
_symmetry_space_group_name_H-M 'P -3 m 1'
_symmetry_Int_Tables_number 164
_symmetry_space_group_name_Hall '-P 3 2"'
_cell_length_a 4.7502
_cell_length_b 4.7502
_cell_length_c 6.8260
_cell_angle_alpha 90.00
_cell_angle_beta 90.00
_cell_angle_gamma 120.00
loop_
_atom_site_label
_atom_site_fract_x
_atom_site_fract_y
_atom_site_fract_z
_atom_site_occupancy
Tl1 0.0000 0.0000 0.0000 1
Tl2 0.3333 0.6667 0.3504 1
Zn1 0.3333 0.6667 0.8278 1
```


[5]
# TlZn4
Calculated powder diffraction line list, Cu Kα. Input: the PBE geometry in Alexandria.

Largest 8 diffraction maxima, in order of falling intensity, 10 to 90 degrees two-theta:
2θ 41.3, I 100.0, (2 1 1)
2θ 39.3, I 72.1, (1 0 3)
2θ 24.7, I 44.0, (1 1 0)
2θ 34.1, I 40.0, (1 1 2)
2θ 20.9, I 39.3, (1 0 1)
2θ 37.2, I 39.1, (2 0 1)
2θ 29.1, I 30.7, (1 0 2)
2θ 71.8, I 23.7, (2 2 4)

```
data_TlZn4
_symmetry_space_group_name_H-M 'P 42/n m c'
_symmetry_Int_Tables_number 137
_cell_length_a 5.094
_cell_length_b 5.094
_cell_length_c 7.700
_cell_angle_alpha 90.00
_cell_angle_beta 90.00
_cell_angle_gamma 90.00
loop_
_symmetry_equiv_pos_as_xyz
'x,y,z'
'-x,-y,-z'
'-y+1/2,x,z+1/2'
'y+1/2,-x,-z+1/2'
'-x+1/2,-y+1/2,z'
'x+1/2,y+1/2,-z'
'y,-x+1/2,z+1/2'
'-y,x+1/2,-z+1/2'
'x+1/2,-y,-z'
'-x+1/2,y,z'
'-y,-x,-z+1/2'
'y,x,z+1/2'
'-x,y+1/2,-z'
'x,-y+1/2,z'
'y+1/2,x+1/2,-z+1/2'
'-y+1/2,-x+1/2,z+1/2'
loop_
_atom_site_label
_atom_site_fract_x
_atom_site_fract_y
_atom_site_fract_z
_atom_site_occupancy
Tl1 0.250 0.750 0.250 1
Zn1 0.001 0.250 0.109 1
```


[6]
# Tl5Zn
Calculated powder diffraction line list, Cu Kα. Input: the PBE geometry in Alexandria.

Largest 8 diffraction maxima, in order of falling intensity, 10 to 90 degrees two-theta:
2θ 32.0, I 100.0, (1 3 1)
2θ 33.9, I 21.0, (0 6 0)
2θ 59.5, I 16.4, (1 9 1)
2θ 38.5, I 15.4, (0 0 2)
2θ 38.9, I 15.0, (2 0 0)
2θ 65.6, I 13.0, (1 3 3)
2θ 66.1, I 12.8, (3 3 1)
2θ 52.5, I 12.8, (2 6 0)

```
data_Tl5Zn
_symmetry_space_group_name_H-M 'C m m m'
_symmetry_Int_Tables_number 65
_symmetry_space_group_name_Hall '-C 2 2'
_cell_length_a 4.635
_cell_length_b 15.862
_cell_length_c 4.677
_cell_angle_alpha 90.00
_cell_angle_beta 90.00
_cell_angle_gamma 90.00
loop_
_atom_site_label
_atom_site_fract_x
_atom_site_fract_y
_atom_site_fract_z
_atom_site_occupancy
Tl1 0.000 0.000 0.000 1
Tl2 0.000 0.161 0.500 1
Tl3 0.000 0.339 0.000 1
Zn1 0.000 0.500 0.500 1
```


[7]
# Tl2Zn3
Calculated powder diffraction line list, Cu Kα. Input: the PBE geometry in Alexandria.

Largest 8 diffraction maxima, in order of falling intensity, 10 to 90 degrees two-theta:
2θ 32.9, I 100.0, (0 8 0)
2θ 37.3, I 97.8, (3 3 1)
2θ 32.4, I 84.6, (4 4 0)
2θ 41.0, I 75.1, (3 5 1)
2θ 27.8, I 59.6, (4 0 0)
2θ 29.2, I 58.2, (1 1 1)
2θ 31.5, I 48.5, (1 3 1)
2θ 16.3, I 46.6, (0 4 0)

```
data_Tl2Zn3
_symmetry_space_group_name_H-M 'F d d 2'
_symmetry_Int_Tables_number 43
_symmetry_space_group_name_Hall 'F 2 -2d'
_cell_length_a 12.854
_cell_length_b 21.765
_cell_length_c 3.180
_cell_angle_alpha 90.00
_cell_angle_beta 90.00
_cell_angle_gamma 90.00
loop_
_atom_site_label
_atom_site_fract_x
_atom_site_fract_y
_atom_site_fract_z
_atom_site_occupancy
Tl1 0.114 0.373 0.000 1
Zn1 0.000 0.000 0.652 1
Zn2 0.082 0.248 0.400 1
```


[8]
# Tl2Zn
Calculated powder diffraction line list, Cu Kα. Input: the PBE geometry in Alexandria.

Largest 8 diffraction maxima, in order of falling intensity, 10 to 90 degrees two-theta:
2θ 30.1, I 100.0, (2 1 0)
2θ 32.2, I 72.5, (1 1 1)
2θ 38.5, I 67.5, (1 2 1)
2θ 38.7, I 45.1, (1 3 0)
2θ 29.8, I 40.8, (1 0 1)
2θ 29.0, I 38.6, (0 1 1)
2θ 27.6, I 36.9, (1 2 0)
2θ 51.7, I 34.1, (3 1 1)

```
data_Tl2Zn
_symmetry_space_group_name_H-M 'P n n m'
_symmetry_Int_Tables_number 58
_cell_length_a 6.479
_cell_length_b 7.469
_cell_length_c 3.384
_cell_angle_alpha 90.00
_cell_angle_beta 90.00
_cell_angle_gamma 90.00
loop_
_symmetry_equiv_pos_as_xyz
'x,y,z'
'-x,-y,-z'
'-x,-y,z'
'x,y,-z'
'x+1/2,-y+1/2,-z+1/2'
'-x+1/2,y+1/2,z+1/2'
'-x+1/2,y+1/2,-z+1/2'
'x+1/2,-y+1/2,z+1/2'
loop_
_atom_site_label
_atom_site_fract_x
_atom_site_fract_y
_atom_site_fract_z
_atom_site_occupancy
Tl1 0.112 0.191 0.000 1
Zn1 0.000 0.500 0.500 1
```


[9]
# Tl2Zn
Calculated powder diffraction line list, Cu Kα. Input: the PBE geometry in Alexandria.

Largest 8 diffraction maxima, in order of falling intensity, 10 to 90 degrees two-theta:
2θ 28.6, I 100.0, (2 1 0)
2θ 31.4, I 55.8, (2 1 1)
2θ 48.9, I 44.7, (3 1 2)
2θ 43.0, I 30.0, (3 1 1)
2θ 60.9, I 17.7, (4 2 1)
2θ 86.0, I 14.9, (5 2 3)
2θ 73.1, I 13.0, (5 0 2)
2θ 70.2, I 10.2, (3 3 3)

```
data_Tl2Zn
_symmetry_space_group_name_H-M 'P a -3'
_symmetry_Int_Tables_number 205
_symmetry_space_group_name_Hall '-P 2ac 2ab 3'
_cell_length_a 6.970
_cell_length_b 6.970
_cell_length_c 6.970
_cell_angle_alpha 90.00
_cell_angle_beta 90.00
_cell_angle_gamma 90.00
loop_
_atom_site_label
_atom_site_fract_x
_atom_site_fract_y
_atom_site_fract_z
_atom_site_occupancy
Tl1 0.149 0.149 0.149 1
Zn1 0.000 0.000 0.500 1
```


[10]
# Tl2Zn
Calculated powder diffraction line list, Cu Kα. Input: the PBE geometry in Alexandria.

Largest 8 diffraction maxima, in order of falling intensity, 10 to 90 degrees two-theta:
2θ 36.2, I 100.0, (1 1 1)
2θ 25.7, I 57.9, (1 1 0)
2θ 36.7, I 48.3, (2 0 0)
2θ 65.8, I 35.5, (3 1 1)
2θ 25.1, I 30.8, (0 0 1)
2θ 45.0, I 26.9, (2 0 1)
2θ 64.9, I 18.5, (2 0 2)
2θ 52.9, I 17.1, (2 2 0)

```
data_Tl2Zn
_symmetry_space_group_name_H-M 'P 4/m m m'
_symmetry_Int_Tables_number 123
_symmetry_space_group_name_Hall '-P 4 2'
_cell_length_a 4.900
_cell_length_b 4.900
_cell_length_c 3.551
_cell_angle_alpha 90.00
_cell_angle_beta 90.00
_cell_angle_gamma 90.00
loop_
_atom_site_label
_atom_site_fract_x
_atom_site_fract_y
_atom_site_fract_z
_atom_site_occupancy
Tl1 0.000 0.500 0.000 1
Zn1 0.000 0.000 0.500 1
```


[11]
# Zr6TlZn
Calculated powder diffraction line list, Cu Kα. Input: the PBE geometry in Alexandria.

Largest 8 diffraction maxima, in order of falling intensity, 10 to 90 degrees two-theta:
2θ 39.5, I 100.0, (2 1 1)
2θ 35.9, I 95.8, (2 1 0)
2θ 62.2, I 51.9, (3 2 1)
2θ 32.0, I 44.4, (2 0 0)
2θ 59.7, I 22.0, (3 0 2)
2θ 78.4, I 18.9, (4 2 1)
2θ 15.9, I 16.9, (1 0 0)
2θ 67.0, I 16.7, (4 0 0)

```
data_Zr6TlZn
_symmetry_space_group_name_H-M 'P m -3'
_symmetry_Int_Tables_number 200
_symmetry_space_group_name_Hall '-P 2 2 3'
_cell_length_a 5.587
_cell_length_b 5.587
_cell_length_c 5.587
_cell_angle_alpha 90.00
_cell_angle_beta 90.00
_cell_angle_gamma 90.00
loop_
_atom_site_label
_atom_site_fract_x
_atom_site_fract_y
_atom_site_fract_z
_atom_site_occupancy
Zr1 0.000 0.253 0.500 1
Tl1 0.000 0.000 0.000 1
Zn1 0.500 0.500 0.500 1
```


[12]
# Zr5Tl3
Calculated powder diffraction line list, Cu Kα. Input: the PBE geometry in Alexandria.

Largest 8 diffraction maxima, in order of falling intensity, 10 to 90 degrees two-theta:
2θ 35.4, I 100.0, (2 1 1)
2θ 37.1, I 59.1, (1 1 2)
2θ 25.7, I 40.2, (1 1 1)
2θ 36.2, I 39.2, (3 0 0)
2θ 46.7, I 29.0, (3 1 1)
2θ 30.4, I 28.9, (0 0 2)
2θ 57.3, I 24.8, (2 1 3)
2θ 71.0, I 24.3, (5 0 2)

```
data_Zr5Tl3
_symmetry_space_group_name_H-M 'P 63/m c m'
_symmetry_Int_Tables_number 193
_symmetry_space_group_name_Hall '-P 6c 2'
_cell_length_a 8.5903
_cell_length_b 8.5903
_cell_length_c 5.8803
_cell_angle_alpha 90.00
_cell_angle_beta 90.00
_cell_angle_gamma 120.00
loop_
_atom_site_label
_atom_site_fract_x
_atom_site_fract_y
_atom_site_fract_z
_atom_site_occupancy
Zr1 0.0000 0.2336 0.2500 1
Zr2 0.3333 0.6667 0.0000 1
Tl1 0.0000 0.3942 0.7500 1
```


Q: What is the formula in the fifth record?
A: TlZn4